1.
Diffraction record for MnH12S2N2O10. The XRD peak list is theoretical, not measured: it uses DFT lattice parameters and positions (GGA+U) and a wavelength of 1.5418 Å.

Cell and atoms:
```
MnH12S2N2O10
1.0
6.2525 0.0000 0.0000
0.0000 5.4411 0.0000
-0.6601 0.0000 15.5088
Mn H S N O
2 24 4 4 20
direct
0.0000 0.0000 0.0000
0.0000 0.5000 0.5000
0.1367 0.1074 0.2872
0.1367 0.3926 0.7872
0.2016 0.7195 0.1276
0.2016 0.7805 0.6276
0.2160 0.5652 0.0412
0.2160 0.9348 0.5412
0.3135 0.1968 0.4331
0.3135 0.3032 0.9331
0.3985 0.2156 0.0290
0.3985 0.2844 0.5290
0.4031 0.0820 0.2836
0.4031 0.4180 0.7836
0.5969 0.5820 0.2164
0.5969 0.9180 0.7164
0.6015 0.7156 0.4710
0.6015 0.7844 0.9710
0.6865 0.6968 0.0669
0.6865 0.8032 0.5669
0.7840 0.0652 0.4588
0.7840 0.4348 0.9588
0.7984 0.2195 0.3724
0.7984 0.2805 0.8724
0.8633 0.6074 0.2128
0.8633 0.8926 0.7128
0.2540 0.7339 0.3259
0.2540 0.7661 0.8259
0.7460 0.2339 0.1741
0.7460 0.2661 0.6741
0.2724 0.0416 0.3193
0.2724 0.4584 0.8193
0.7276 0.5416 0.1807
0.7276 0.9584 0.6807
0.0673 0.6919 0.3795
0.0673 0.8081 0.8795
0.2064 0.7346 0.0643
0.2064 0.7654 0.5643
0.2146 0.6310 0.2388
0.2146 0.8690 0.7388
0.2720 0.2322 0.4932
0.2720 0.2678 0.9932
0.4585 0.6561 0.3656
0.4585 0.8439 0.8656
0.5415 0.1561 0.1344
0.5415 0.3439 0.6344
0.7280 0.7322 0.0068
0.7280 0.7678 0.5068
0.7854 0.1310 0.2612
0.7854 0.3690 0.7612
0.7936 0.2346 0.4357
0.7936 0.2654 0.9357
0.9327 0.1919 0.1205
0.9327 0.3081 0.6205
```

Peak list (10 most intense, 2θ = 10–90°, by angle)
2θ 14.18, d 6.247, I = 35; 2θ 17.27, d 5.134, I = 40; 2θ 18.61, d 4.767, I = 100; 2θ 19.93, d 4.454, I = 51; 2θ 21.66, d 4.103, I = 84; 2θ 24.26, d 3.669, I = 36; 2θ 26.54, d 3.359, I = 70; 2θ 28.26, d 3.158, I = 33; 2θ 33.42, d 2.681, I = 42; 2θ 44.14, d 2.052, I = 29

=====

2.
Diffraction record for NiOF2. The XRD peak list is theoretical, not measured: it uses DFT lattice parameters and positions (GGA+U) and a wavelength of 1.5418 Å.

Cell and atoms:
```
NiOF2
1.0
7.9061 0.0000 0.0000
0.0000 4.0026 0.0000
-2.9099 0.0000 6.9996
Ni O F
4 4 8
direct
0.1601 0.2302 0.3134
0.1601 0.2698 0.8134
0.8399 0.7302 0.1866
0.8399 0.7698 0.6866
0.4746 0.1117 0.4388
0.4746 0.3883 0.9388
0.5254 0.6117 0.0612
0.5254 0.8883 0.5612
0.1197 0.7332 0.2979
0.1197 0.7668 0.7979
0.2134 0.2486 0.5848
0.2134 0.2514 0.0848
0.7866 0.7486 0.9152
0.7866 0.7514 0.4152
0.8803 0.2332 0.2021
0.8803 0.2668 0.7021
```

Peak list (10 most intense, 2θ = 10–90°, by angle)
2θ 12.12, d 7.300, I = 80; 2θ 23.60, d 3.770, I = 80; 2θ 25.39, d 3.508, I = 100; 2θ 33.22, d 2.697, I = 20; 2θ 36.94, d 2.433, I = 42; 2θ 45.31, d 2.001, I = 20; 2θ 46.45, d 1.955, I = 15; 2θ 48.28, d 1.885, I = 17; 2θ 55.32, d 1.661, I = 12; 2θ 59.83, d 1.546, I = 12

=====

3.
Diffraction record for Li7Mn8B8O24. The XRD peak list is theoretical, not measured: it uses DFT lattice parameters and positions (GGA+U) and a wavelength of 1.5418 Å.

Cell and atoms:
```
Li7Mn8B8O24
1.0
5.2728 0.0000 0.0000
0.0701 9.0792 0.0000
0.2489 0.2442 10.4476
Li Mn B O
7 8 8 24
direct
0.0000 0.0000 0.0000
0.0232 0.9910 0.4968
0.1458 0.1606 0.7523
0.2010 0.1484 0.2395
0.5159 0.4875 0.5083
0.6419 0.6564 0.7457
0.6998 0.6436 0.2492
0.0066 0.6570 0.5312
0.1578 0.8239 0.7817
0.1981 0.4889 0.2796
0.5113 0.8019 0.0296
0.5127 0.1565 0.5335
0.6484 0.3220 0.7911
0.6857 0.9754 0.2808
0.9932 0.3456 0.0336
0.0043 0.3224 0.5403
0.0200 0.6531 0.0407
0.1557 0.4955 0.7872
0.1860 0.8201 0.2903
0.5044 0.8232 0.5384
0.5164 0.1435 0.0386
0.6605 0.9897 0.7905
0.6881 0.3220 0.2843
0.0048 0.6136 0.7472
0.0339 0.3668 0.8392
0.0354 0.6969 0.3209
0.0818 0.9600 0.3020
0.1223 0.1869 0.5564
0.1285 0.7842 0.9945
0.1395 0.4431 0.4910
0.1786 0.5299 0.0683
0.2453 0.8402 0.5699
0.2556 0.1536 0.0490
0.4116 0.4983 0.7737
0.4366 0.7981 0.2513
0.5102 0.1084 0.7500
0.5483 0.8528 0.8183
0.5566 0.1935 0.3169
0.5833 0.4568 0.3105
0.6166 0.6866 0.5516
0.6479 0.9446 0.4961
0.6498 0.0154 0.0735
0.6602 0.2628 0.9923
0.7485 0.3370 0.5770
0.7670 0.6390 0.0628
0.9190 0.0062 0.8057
0.9371 0.3132 0.2282
```

Peak list (10 most intense, 2θ = 10–90°, by angle)
2θ 19.54, d 4.543, I = 47; 2θ 21.43, d 4.146, I = 42; 2θ 21.53, d 4.127, I = 24; 2θ 25.47, d 3.497, I = 20; 2θ 25.70, d 3.466, I = 21; 2θ 26.31, d 3.387, I = 24; 2θ 34.04, d 2.634, I = 42; 2θ 34.32, d 2.613, I = 100; 2θ 40.51, d 2.227, I = 25; 2θ 48.35, d 1.882, I = 24

=====

4.
Diffraction record for MnH11C5NO6. The XRD peak list is theoretical, not measured: it uses DFT lattice parameters and positions (GGA+U) and a wavelength of 1.5418 Å.

Cell and atoms:
```
MnH11C5NO6
1.0
7.1715 -4.1695 0.0000
7.1715 4.1695 0.0000
-4.5245 0.0000 7.5835
Mn H C N O
2 22 10 2 12
direct
0.2470 0.7530 0.5000
0.7530 0.2470 0.0000
0.0523 0.9155 0.1709
0.0589 0.4648 0.5704
0.1152 0.2545 0.7199
0.1230 0.4773 0.0112
0.1905 0.5455 0.8881
0.2545 0.1152 0.2199
0.3392 0.8925 0.9614
0.3829 0.8889 0.2504
0.4236 0.5139 0.7664
0.4648 0.0589 0.0704
0.4773 0.1230 0.5112
0.5139 0.4236 0.2664
0.5455 0.1905 0.3881
0.5888 0.8161 0.0862
0.5923 0.9056 0.7459
0.6729 0.9535 0.4146
0.8161 0.5888 0.5862
0.8889 0.3829 0.7504
0.8925 0.3392 0.4614
0.9056 0.5923 0.2459
0.9155 0.0523 0.6709
0.9535 0.6729 0.9146
0.0409 0.4626 0.2503
0.0727 0.5315 0.8996
0.4497 0.9383 0.0762
0.4626 0.0409 0.7503
0.4973 0.5518 0.2430
0.5315 0.0727 0.3996
0.5518 0.4973 0.7430
0.9383 0.4497 0.5762
0.9396 0.9881 0.2395
0.9881 0.9396 0.7395
0.0032 0.3924 0.7364
0.3924 0.0032 0.2364
0.0239 0.2975 0.1658
0.1205 0.7861 0.6832
0.2007 0.4851 0.3367
0.2975 0.0239 0.6658
0.3893 0.7170 0.3201
0.4851 0.2007 0.8367
0.5273 0.5853 0.6439
0.5853 0.5273 0.1439
0.7170 0.3893 0.8201
0.7861 0.1205 0.1832
0.9328 0.9735 0.8677
0.9735 0.9328 0.3677
```

Peak list (10 most intense, 2θ = 10–90°, by angle)
2θ 14.38, d 6.159, I = 70; 2θ 14.66, d 6.042, I = 100; 2θ 19.72, d 4.502, I = 69; 2θ 20.26, d 4.384, I = 40; 2θ 21.31, d 4.169, I = 29; 2θ 21.43, d 4.146, I = 38; 2θ 24.78, d 3.594, I = 26; 2θ 29.57, d 3.021, I = 26; 2θ 31.50, d 2.840, I = 30; 2θ 32.46, d 2.758, I = 29

=====

5.
Diffraction record for VGe2O6. The XRD peak list is theoretical, not measured: it uses DFT lattice parameters and positions (GGA+U) and a wavelength of 1.5418 Å.

Cell and atoms:
```
VGe2O6
1.0
9.6713 0.0000 0.0000
0.0000 8.8839 0.0000
-1.2307 0.0000 5.3449
V Ge O
4 8 24
direct
0.2481 0.1473 0.0220
0.2481 0.3527 0.5220
0.7519 0.6473 0.4780
0.7519 0.8527 0.9780
0.0475 0.6638 0.2730
0.0475 0.8362 0.7730
0.4492 0.6617 0.6682
0.4492 0.8383 0.1682
0.5508 0.1617 0.8318
0.5508 0.3383 0.3318
0.9525 0.1638 0.2270
0.9525 0.3362 0.7270
0.1109 0.0192 0.8679
0.1109 0.4808 0.3679
0.1156 0.7034 0.0089
0.1156 0.7966 0.5089
0.1409 0.1765 0.3013
0.1409 0.3235 0.8013
0.3598 0.1823 0.7711
0.3598 0.3177 0.2711
0.3819 0.0162 0.2156
0.3819 0.4838 0.7156
0.3830 0.7055 0.3505
0.3830 0.7945 0.8505
0.6170 0.2055 0.1495
0.6170 0.2945 0.6495
0.6181 0.5162 0.2844
0.6181 0.9838 0.7844
0.6402 0.6823 0.7289
0.6402 0.8177 0.2289
0.8591 0.6765 0.1987
0.8591 0.8235 0.6987
0.8844 0.2034 0.4911
0.8844 0.2966 0.9911
0.8891 0.5192 0.6321
0.8891 0.9808 0.1321
```

Peak list (10 most intense, 2θ = 10–90°, by angle)
2θ 18.83, d 4.712, I = 29; 2θ 19.38, d 4.580, I = 48; 2θ 19.99, d 4.442, I = 49; 2θ 24.36, d 3.654, I = 22; 2θ 26.45, d 3.370, I = 36; 2θ 29.05, d 3.074, I = 100; 2θ 30.17, d 2.962, I = 79; 2θ 34.67, d 2.587, I = 44; 2θ 35.95, d 2.498, I = 40; 2θ 55.50, d 1.656, I = 27

=====

6.
Diffraction record for Tl4Ni7P6O24. The XRD peak list is theoretical, not measured: it uses DFT lattice parameters and positions (GGA+U) and a wavelength of 1.5418 Å.

Cell and atoms:
```
Tl4Ni7P6O24
1.0
5.4242 -7.2285 0.0000
5.4242 7.2285 0.0000
-1.5712 0.0000 6.5978
Tl Ni P O
4 7 6 24
direct
0.0000 0.0000 0.0000
0.2044 0.4335 0.0285
0.4335 0.2044 0.0285
0.6161 0.6161 0.9747
0.0604 0.6811 0.3210
0.0803 0.3207 0.5050
0.3207 0.0803 0.5050
0.3358 0.7283 0.6808
0.6811 0.0604 0.3210
0.6973 0.6973 0.4951
0.7283 0.3358 0.6808
0.0026 0.0026 0.5067
0.3983 0.3983 0.5043
0.4138 0.8144 0.2286
0.5969 0.9822 0.7684
0.8144 0.4138 0.2286
0.9822 0.5969 0.7684
0.0313 0.6671 0.9945
0.0958 0.6873 0.6416
0.0965 0.9185 0.3749
0.1336 0.1336 0.6651
0.2615 0.2615 0.3591
0.3011 0.7217 0.3558
0.3071 0.4878 0.6338
0.3596 0.7433 0.0031
0.4162 0.9759 0.7221
0.4265 0.9947 0.2805
0.4878 0.3071 0.6338
0.5045 0.5045 0.3928
0.5838 0.8054 0.6956
0.5892 0.8178 0.2965
0.6671 0.0313 0.9945
0.6873 0.0958 0.6416
0.7217 0.3011 0.3558
0.7433 0.3596 0.0031
0.8054 0.5838 0.6956
0.8178 0.5892 0.2965
0.8883 0.8883 0.5995
0.9185 0.0965 0.3749
0.9759 0.4162 0.7221
0.9947 0.4265 0.2805
```

Peak list (10 most intense, 2θ = 10–90°, by angle)
2θ 26.07, d 3.418, I = 63; 2θ 26.53, d 3.359, I = 61; 2θ 27.01, d 3.301, I = 45; 2θ 29.77, d 3.001, I = 78; 2θ 29.97, d 2.982, I = 66; 2θ 31.26, d 2.861, I = 46; 2θ 32.09, d 2.789, I = 100; 2θ 32.36, d 2.767, I = 63; 2θ 33.23, d 2.696, I = 45; 2θ 41.06, d 2.198, I = 43

=====

7.
Diffraction record for FeOF. The XRD peak list is theoretical, not measured: it uses DFT lattice parameters and positions (GGA+U) and a wavelength of 1.5418 Å.

Cell and atoms:
```
FeOF
1.0
0.0000 3.8667 4.8468
3.4682 0.0000 4.8468
3.4682 3.8667 0.0000
Fe O F
4 4 4
direct
0.0774 0.6726 0.0774
0.3274 0.9226 0.3274
0.6726 0.0774 0.6726
0.9226 0.3274 0.9226
0.0106 0.0106 0.7394
0.2606 0.2606 0.9894
0.7394 0.7394 0.0106
0.9894 0.9894 0.2606
0.0000 0.5000 0.5000
0.5000 0.0000 0.5000
0.5000 0.5000 0.0000
0.5000 0.5000 0.5000
```

Peak list (10 most intense, 2θ = 10–90°, by angle)
2θ 19.48, d 4.557, I = 23; 2θ 29.55, d 3.023, I = 98; 2θ 31.72, d 2.820, I = 100; 2θ 34.75, d 2.582, I = 25; 2θ 41.83, d 2.160, I = 24; 2θ 46.96, d 1.935, I = 52; 2θ 51.74, d 1.767, I = 57; 2θ 61.31, d 1.512, I = 20; 2θ 61.66, d 1.504, I = 20; 2θ 62.25, d 1.491, I = 32